Theoretical powder XRD pattern
Compound: LiFeP2O7
Radiation: Cu Kα
Structure: DFT lattice parameters and positions (PBE+U)

Structural model:
a b c (Å): 8.2133 8.2133 8.6730
angles (deg): 114.35 114.35 37.24
Atoms (fractional coordinates):
1 Li 0.1998 0.8002 0.5000
2 Li 0.8002 0.1998 0.0000
3 Fe 0.1535 0.2639 0.0904
4 Fe 0.2639 0.1535 0.5904
5 P 0.4372 0.7700 0.2379
6 P 0.6497 0.9610 0.3866
7 P 0.7700 0.4372 0.7379
8 P 0.9610 0.6497 0.8866
9 O 0.0146 0.2062 0.6345
10 O 0.0818 0.5215 0.0457
11 O 0.1612 0.4478 0.7545
12 O 0.2062 0.0146 0.1345
13 O 0.3438 0.8699 0.4114
14 O 0.4478 0.1612 0.2545
15 O 0.5166 0.5270 0.6434
16 O 0.5215 0.0818 0.5457
17 O 0.5270 0.5166 0.1434
18 O 0.6955 0.7089 0.2891
19 O 0.7089 0.6955 0.7891
20 O 0.8492 0.9168 0.9310
21 O 0.8699 0.3438 0.9114
22 O 0.9168 0.8492 0.4310

Largest 6 diffraction maxima, by intensity, 10° ≤ 2θ ≤ 80°:
2θ = 12.63°, d = 7.008 Å, I = 100; 2θ = 26.91°, d = 3.313 Å, I = 66; 2θ = 19.83°, d = 4.477 Å, I = 60; 2θ = 28.23°, d = 3.161 Å, I = 24; 2θ = 25.53°, d = 3.489 Å, I = 23; 2θ = 22.80°, d = 3.900 Å, I = 20

---

Theoretical powder XRD pattern
Compound: Li2FeP4O12
Radiation: Cu Kα
Structure: DFT lattice parameters and positions (PBE+U)

Structural model:
a b c (Å): 5.4113 7.1525 7.2549
angles (deg): 109.79 93.06 106.90
Atoms (fractional coordinates):
1 Li 0.1345 0.2219 0.0540
2 Li 0.8655 0.7781 0.9460
3 Fe 0.5000 0.5000 0.5000
4 P 0.1875 0.7140 0.2898
5 P 0.3645 0.9273 0.7277
6 P 0.6355 0.0727 0.2723
7 P 0.8125 0.2860 0.7102
8 O 0.0541 0.3126 0.8356
9 O 0.1884 0.9411 0.8790
10 O 0.1940 0.8696 0.5137
11 O 0.2376 0.5182 0.3001
12 O 0.4481 0.8370 0.2252
13 O 0.4744 0.2190 0.2972
14 O 0.5256 0.7810 0.7028
15 O 0.5519 0.1630 0.7748
16 O 0.7624 0.4818 0.6999
17 O 0.8060 0.1304 0.4863
18 O 0.8116 0.0589 0.1210
19 O 0.9459 0.6874 0.1644

Largest 6 diffraction maxima, by intensity, 10° ≤ 2θ ≤ 80°:
2θ = 24.92°, d = 3.573 Å, I = 100; 2θ = 13.16°, d = 6.729 Å, I = 39; 2θ = 18.37°, d = 4.829 Å, I = 33; 2θ = 30.47°, d = 2.934 Å, I = 30; 2θ = 19.99°, d = 4.443 Å, I = 28; 2θ = 27.36°, d = 3.259 Å, I = 23

---

Theoretical powder XRD pattern
Compound: LiFePO4
Radiation: Cu Kα
Structure: DFT lattice parameters and positions (PBE+U)

Structural model:
a b c (Å): 7.3575 5.4708 6.3493
angles (deg): 76.59 46.33 57.08
Atoms (fractional coordinates):
1 Li 0.0000 0.0000 0.0000
2 Li 0.2500 0.2500 0.2500
3 Fe 0.6262 0.6262 0.3738
4 Fe 0.8762 0.8762 0.6238
5 P 0.3038 0.3038 0.6962
6 P 0.5538 0.5538 0.9462
7 O 0.1103 0.3005 0.0334
8 O 0.1850 0.6333 0.6594
9 O 0.2166 0.6942 0.1397
10 O 0.3005 0.1103 0.5558
11 O 0.5906 0.7278 0.0650
12 O 0.6333 0.1850 0.5222
13 O 0.6942 0.2166 0.9495
14 O 0.7278 0.5906 0.6167

Largest 6 diffraction maxima, by intensity, 10° ≤ 2θ ≤ 80°:
2θ = 33.73°, d = 2.657 Å, I = 100; 2θ = 19.90°, d = 4.463 Å, I = 99; 2θ = 29.93°, d = 2.985 Å, I = 53; 2θ = 35.35°, d = 2.539 Å, I = 50; 2θ = 52.37°, d = 1.747 Å, I = 43; 2θ = 24.66°, d = 3.610 Å, I = 42

---

Theoretical powder XRD pattern
Compound: LiFeP2O7
Radiation: Cu Kα
Structure: DFT lattice parameters and positions (PBE+U)

Structural model:
a b c (Å): 5.3110 8.8743 6.9986
angles (deg): 90.00 111.86 90.00
Atoms (fractional coordinates):
1 Li 0.1135 0.0000 0.3344
2 Li 0.8865 0.5000 0.6656
3 Fe 0.0813 0.1204 0.8547
4 Fe 0.9187 0.6204 0.1453
5 P 0.2942 0.6736 0.5126
6 P 0.2961 0.7676 0.9292
7 P 0.7039 0.2676 0.0708
8 P 0.7058 0.1736 0.4874
9 O 0.0709 0.5478 0.4466
10 O 0.1086 0.6400 0.9482
11 O 0.1850 0.7802 0.3224
12 O 0.2121 0.9248 0.9707
13 O 0.2534 0.7733 0.6916
14 O 0.4049 0.2377 0.9419
15 O 0.4201 0.1227 0.4208
16 O 0.5799 0.6227 0.5792
17 O 0.5951 0.7377 0.0581
18 O 0.7466 0.2733 0.3084
19 O 0.7879 0.4248 0.0293
20 O 0.8150 0.2802 0.6776
21 O 0.8914 0.1400 0.0518
22 O 0.9291 0.0478 0.5534

Largest 6 diffraction maxima, by intensity, 10° ≤ 2θ ≤ 80°:
2θ = 20.66°, d = 4.300 Å, I = 100; 2θ = 20.01°, d = 4.437 Å, I = 58; 2θ = 26.66°, d = 3.344 Å, I = 21; 2θ = 27.06°, d = 3.295 Å, I = 21; 2θ = 18.00°, d = 4.927 Å, I = 12; 2θ = 13.63°, d = 6.495 Å, I = 11

---

Theoretical powder XRD pattern
Compound: LiFePO4
Radiation: Cu Kα
Structure: DFT lattice parameters and positions (PBE+U)

Structural model:
a b c (Å): 5.0128 5.0128 8.5756
angles (deg): 105.11 105.11 60.94
Atoms (fractional coordinates):
1 Li 0.1897 0.8103 0.5000
2 Li 0.8103 0.1897 0.0000
3 Fe 0.0644 0.4500 0.7560
4 Fe 0.4500 0.0644 0.2560
5 P 0.4286 0.8304 0.8789
6 P 0.8304 0.4286 0.3789
7 O 0.0498 0.5108 0.5268
8 O 0.1547 0.7952 0.9087
9 O 0.3334 0.9817 0.7235
10 O 0.5051 0.7076 0.3561
11 O 0.5108 0.0498 0.0268
12 O 0.7076 0.5051 0.8561
13 O 0.7952 0.1547 0.4087
14 O 0.9817 0.3334 0.2235

Largest 6 diffraction maxima, by intensity, 10° ≤ 2θ ≤ 80°:
2θ = 21.63°, d = 4.108 Å, I = 100; 2θ = 35.31°, d = 2.542 Å, I = 38; 2θ = 21.75°, d = 4.087 Å, I = 36; 2θ = 36.06°, d = 2.491 Å, I = 16; 2θ = 35.85°, d = 2.505 Å, I = 16; 2θ = 41.73°, d = 2.164 Å, I = 16

---

Theoretical powder XRD pattern
Compound: Li3Fe2P3O12
Radiation: Cu Kα
Structure: DFT lattice parameters and positions (PBE+U)

Structural model:
a b c (Å): 8.3731 8.3831 8.9765
angles (deg): 62.22 62.41 60.10
Atoms (fractional coordinates):
1 Li 0.0000 0.0000 0.0000
2 Li 0.0703 0.4098 0.7094
3 Li 0.4088 0.2607 0.9896
4 Li 0.4915 0.7670 0.5021
5 Li 0.6590 0.5929 0.9857
6 Li 0.8165 0.0612 0.7119
7 Fe 0.0855 0.6751 0.8136
8 Fe 0.3902 0.9802 0.8990
9 Fe 0.5914 0.1853 0.2928
10 Fe 0.8869 0.4740 0.4173
11 P 0.1959 0.0711 0.6079
12 P 0.2713 0.5815 0.1053
13 P 0.4823 0.3756 0.6053
14 P 0.6960 0.8720 0.1026
15 P 0.7829 0.7906 0.6058
16 P 0.9891 0.2942 0.0996
17 O 0.1242 0.5300 0.2841
18 O 0.1984 0.1202 0.7564
19 O 0.2046 0.1632 0.0463
20 O 0.2266 0.8543 0.6663
21 O 0.2424 0.7975 0.0457
22 O 0.2504 0.5346 0.9661
23 O 0.2657 0.5024 0.6624
24 O 0.3624 0.0989 0.4385
25 O 0.4799 0.4517 0.1157
26 O 0.5239 0.3342 0.4402
27 O 0.5287 0.1799 0.7602
28 O 0.5685 0.8336 0.0512
29 O 0.5865 0.7995 0.7581
30 O 0.6045 0.0804 0.1128
31 O 0.6107 0.4771 0.5755
32 O 0.7218 0.7276 0.2817
33 O 0.7484 0.9438 0.4333
34 O 0.8588 0.2009 0.1168
35 O 0.8735 0.5840 0.5911
36 O 0.8951 0.8637 0.9518
37 O 0.9150 0.8228 0.6589
38 O 0.9337 0.3360 0.2676
39 O 0.9483 0.4891 0.9415
40 O 0.9925 0.2035 0.5856

Largest 6 diffraction maxima, by intensity, 10° ≤ 2θ ≤ 80°:
2θ = 24.26°, d = 3.669 Å, I = 100; 2θ = 19.85°, d = 4.473 Å, I = 95; 2θ = 14.48°, d = 6.117 Å, I = 90; 2θ = 31.82°, d = 2.812 Å, I = 63; 2θ = 29.17°, d = 3.061 Å, I = 44; 2θ = 31.90°, d = 2.805 Å, I = 32

---

Theoretical powder XRD pattern
Compound: LiFePO4
Radiation: Cu Kα
Structure: DFT lattice parameters and positions (PBE+U)

Structural model:
a b c (Å): 5.1845 5.1845 8.9114
angles (deg): 90.63 90.63 121.52
Atoms (fractional coordinates):
1 Li 0.2019 0.7981 0.5000
2 Li 0.7981 0.2019 0.0000
3 Fe 0.1916 0.8045 0.1974
4 Fe 0.8045 0.1916 0.6974
5 P 0.1388 0.8601 0.8453
6 P 0.8601 0.1388 0.3453
7 O 0.0141 0.9507 0.3505
8 O 0.0604 0.6604 0.7002
9 O 0.0658 0.6560 0.9856
10 O 0.1096 0.4782 0.3487
11 O 0.4782 0.1096 0.8487
12 O 0.6560 0.0658 0.4856
13 O 0.6604 0.0604 0.2002
14 O 0.9507 0.0141 0.8505

Largest 6 diffraction maxima, by intensity, 10° ≤ 2θ ≤ 80°:
2θ = 20.10°, d = 4.419 Å, I = 100; 2θ = 19.62°, d = 4.524 Å, I = 80; 2θ = 19.93°, d = 4.455 Å, I = 50; 2θ = 34.62°, d = 2.591 Å, I = 37; 2θ = 36.15°, d = 2.485 Å, I = 34; 2θ = 28.14°, d = 3.172 Å, I = 32

---

Theoretical powder XRD pattern
Compound: LiFe2P2O8
Radiation: Cu Kα
Structure: DFT lattice parameters and positions (PBE+U)

Structural model:
a b c (Å): 4.6119 5.1951 7.7484
angles (deg): 86.97 78.79 74.17
Atoms (fractional coordinates):
1 Li 0.0000 0.0000 0.0000
2 Fe 0.5686 0.5825 0.4487
3 Fe 0.7070 0.0877 0.6397
4 P 0.0015 0.5122 0.7652
5 P 0.2627 0.1843 0.3014
6 O 0.2775 0.0736 0.1248
7 O 0.3437 0.4334 0.6558
8 O 0.3763 0.4413 0.2911
9 O 0.4550 0.9684 0.4198
10 O 0.8058 0.6890 0.6309
11 O 0.9097 0.2461 0.8009
12 O 0.9238 0.2597 0.4134
13 O 0.9731 0.6734 0.9244

Largest 6 diffraction maxima, by intensity, 10° ≤ 2θ ≤ 80°:
2θ = 11.64°, d = 7.601 Å, I = 100; 2θ = 25.39°, d = 3.508 Å, I = 56; 2θ = 31.41°, d = 2.848 Å, I = 19; 2θ = 30.27°, d = 2.953 Å, I = 19; 2θ = 24.22°, d = 3.674 Å, I = 15; 2θ = 29.53°, d = 3.025 Å, I = 15

---

Theoretical powder XRD pattern
Compound: LiFeP2O7
Radiation: Cu Kα
Structure: DFT lattice parameters and positions (PBE+U)

Structural model:
a b c (Å): 6.2631 6.4436 7.9915
angles (deg): 98.32 105.07 112.99
Atoms (fractional coordinates):
1 Li 0.0000 0.0000 0.0000
2 Li 0.0000 0.0000 0.5000
3 Fe 0.3955 0.6876 0.2342
4 Fe 0.6045 0.3124 0.7658
5 P 0.1691 0.4386 0.7800
6 P 0.4467 0.2261 0.3138
7 P 0.5533 0.7739 0.6862
8 P 0.8309 0.5614 0.2200
9 O 0.1081 0.6545 0.3040
10 O 0.2394 0.2329 0.7573
11 O 0.2714 0.5903 0.6482
12 O 0.2790 0.3169 0.2014
13 O 0.2787 0.5967 0.9701
14 O 0.4051 0.9931 0.2000
15 O 0.4113 0.2147 0.4954
16 O 0.5887 0.7853 0.5046
17 O 0.5949 0.0069 0.8000
18 O 0.7213 0.4033 0.0299
19 O 0.7210 0.6831 0.7986
20 O 0.7286 0.4097 0.3518
21 O 0.7606 0.7671 0.2427
22 O 0.8919 0.3455 0.6960

Largest 6 diffraction maxima, by intensity, 10° ≤ 2θ ≤ 80°:
2θ = 23.99°, d = 3.709 Å, I = 100; 2θ = 16.40°, d = 5.406 Å, I = 78; 2θ = 15.55°, d = 5.700 Å, I = 60; 2θ = 31.03°, d = 2.882 Å, I = 43; 2θ = 28.10°, d = 3.176 Å, I = 43; 2θ = 16.79°, d = 5.281 Å, I = 38

---

Theoretical powder XRD pattern
Compound: Li4Fe3SbP4O16
Radiation: Cu Kα
Structure: DFT lattice parameters and positions (PBE+U)

Structural model:
a b c (Å): 4.7841 6.1751 11.1227
angles (deg): 90.00 94.64 90.00
Atoms (fractional coordinates):
1 Li 0.0000 0.2417 0.0000
2 Li 0.0000 0.7583 0.0000
3 Li 0.5681 0.2553 0.4643
4 Li 0.5681 0.7447 0.4643
5 Fe 0.0605 0.5000 0.2656
6 Fe 0.0873 0.0000 0.6664
7 Fe 0.5514 0.0000 0.2015
8 Sb 0.5165 0.5000 0.7680
9 P 0.0005 0.5000 0.5491
10 P 0.1375 0.0000 0.3753
11 P 0.4439 0.0000 0.9027
12 P 0.5829 0.5000 0.0908
13 O 0.2556 0.1997 0.3074
14 O 0.2556 0.8003 0.3074
15 O 0.2612 0.5000 0.0887
16 O 0.2900 0.0000 0.5048
17 O 0.3089 0.0000 0.0254
18 O 0.3158 0.1934 0.8230
19 O 0.3158 0.8066 0.8230
20 O 0.3202 0.5000 0.5381
21 O 0.6876 0.5000 0.9609
22 O 0.7264 0.2989 0.1553
23 O 0.7264 0.7011 0.1553
24 O 0.7625 0.0000 0.9172
25 O 0.8161 0.0000 0.3735
26 O 0.8382 0.5000 0.4209
27 O 0.8968 0.2911 0.6130
28 O 0.8968 0.7089 0.6130

Largest 6 diffraction maxima, by intensity, 10° ≤ 2θ ≤ 80°:
2θ = 28.92°, d = 3.088 Å, I = 100; 2θ = 19.66°, d = 4.515 Å, I = 83; 2θ = 25.41°, d = 3.505 Å, I = 78; 2θ = 24.42°, d = 3.645 Å, I = 71; 2θ = 35.05°, d = 2.560 Å, I = 70; 2θ = 32.82°, d = 2.729 Å, I = 60

---

Which formula does entry 3 have?
LiFePO4